Entry 1:
# MnNi6Sn
Simulated powder diffraction line list, λ = 1.5418 Å (Cu Kα). Input: a DFT-relaxed cell (GGA-PBE, Alexandria).
Peak positions follow from Bragg's law for the DFT cell and can differ from measured ones.

Largest 10 diffraction maxima, low angle first, 2θ from 10° to 90°:
2theta, intensity
24.33, 2
31.23, 2
34.74, 2
42.90, 100
49.86, 31
50.13, 16
73.18, 9
73.40, 18
88.75, 22
89.15, 11

Crystal structure
```
data_MnNi6Sn
_chemical_formula_sum 'Mn8 Ni48 Sn8'
_symmetry_space_group_name_H-M 'C m m m'
_symmetry_Int_Tables_number 65
_symmetry_space_group_name_Hall '-C 2 2'
_cell_length_a 7.279
_cell_length_b 10.347
_cell_length_c 10.345
_cell_angle_alpha 90.00
_cell_angle_beta 90.00
_cell_angle_gamma 90.00
loop_
_atom_site_label
_atom_site_type_symbol
_atom_site_fract_x
_atom_site_fract_y
_atom_site_fract_z
Mn1 Mn 0.000 0.000 0.245
Mn2 Mn 0.000 0.251 0.000
Ni1 Ni 0.000 0.000 0.000
Ni2 Ni 0.000 0.000 0.500
Ni3 Ni 0.000 0.246 0.242
Ni4 Ni 0.000 0.500 0.000
Ni5 Ni 0.000 0.500 0.500
Ni6 Ni 0.243 0.123 0.370
Ni7 Ni 0.244 0.128 0.120
Sn1 Sn 0.000 0.252 0.500
Sn2 Sn 0.000 0.500 0.246
```

Entry 2:
# MnNi6Sn
Simulated powder diffraction line list, λ = 1.5418 Å (Cu Kα). Input: a DFT-relaxed cell (GGA-PBE, Alexandria).
Peak positions follow from Bragg's law for the DFT cell and can differ from measured ones.

Largest 10 diffraction maxima, low angle first, 2θ from 10° to 90°:
2theta, intensity
19.73, 5
29.11, 6
40.08, 26
43.16, 27
45.77, 100
60.35, 15
72.81, 15
81.00, 17
86.52, 3
88.57, 18

Crystal structure
```
data_MnNi6Sn
_chemical_formula_sum 'Mn1 Ni6 Sn1'
_symmetry_space_group_name_H-M 'P -6 m 2'
_symmetry_Int_Tables_number 187
_symmetry_space_group_name_Hall 'P -6 2'
_cell_length_a 5.1957
_cell_length_b 5.1957
_cell_length_c 4.1923
_cell_angle_alpha 90.00
_cell_angle_beta 90.00
_cell_angle_gamma 120.00
loop_
_atom_site_label
_atom_site_type_symbol
_atom_site_fract_x
_atom_site_fract_y
_atom_site_fract_z
Mn1 Mn 0.0000 0.0000 0.0000
Ni1 Ni 0.0157 0.5079 0.0000
Ni2 Ni 0.1687 0.3375 0.5000
Sn1 Sn 0.6667 0.3333 0.5000
```

Entry 3:
# Tb3Mn2Ni7
Simulated powder diffraction line list, λ = 1.5418 Å (Cu Kα). Input: a DFT-relaxed cell (GGA-PBE, Alexandria).
Peak positions follow from Bragg's law for the DFT cell and can differ from measured ones.

Largest 10 diffraction maxima, low angle first, 2θ from 10° to 90°:
2theta, intensity
32.85, 55
35.35, 56
35.90, 44
41.23, 45
41.99, 100
45.26, 16
61.88, 18
63.82, 17
68.01, 23
74.79, 23

Crystal structure
```
data_Tb3Mn2Ni7
_chemical_formula_sum 'Tb9 Mn6 Ni21'
_symmetry_space_group_name_H-M 'R -3 m'
_symmetry_Int_Tables_number 166
_symmetry_space_group_name_Hall '-R 3 2"'
_cell_length_a 5.0776
_cell_length_b 5.0776
_cell_length_c 24.3281
_cell_angle_alpha 90.00
_cell_angle_beta 90.00
_cell_angle_gamma 120.00
loop_
_atom_site_label
_atom_site_type_symbol
_atom_site_fract_x
_atom_site_fract_y
_atom_site_fract_z
Tb1 Tb 0.0000 0.0000 0.0000
Tb2 Tb 0.0000 0.0000 0.1394
Mn1 Mn 0.0000 0.0000 0.3327
Ni1 Ni 0.0000 0.0000 0.5000
Ni2 Ni 0.0017 0.5008 0.0822
```

Entry 4:
# Tb2MnZn2Ni5
Simulated powder diffraction line list, λ = 1.5418 Å (Cu Kα). Input: a DFT-relaxed cell (GGA-PBE, Alexandria).
Peak positions follow from Bragg's law for the DFT cell and can differ from measured ones.

Largest 10 diffraction maxima, low angle first, 2θ from 10° to 90°:
2theta, intensity
31.71, 20
33.19, 34
37.33, 27
39.88, 100
40.18, 64
41.40, 30
43.47, 39
51.32, 26
67.11, 27
67.97, 17

Crystal structure
```
data_Tb2MnZn2Ni5
_chemical_formula_sum 'Tb4 Mn2 Zn4 Ni10'
_symmetry_space_group_name_H-M 'P 4/m b m'
_symmetry_Int_Tables_number 127
_symmetry_space_group_name_Hall '-P 4 2ab'
_cell_length_a 9.253
_cell_length_b 9.253
_cell_length_c 3.561
_cell_angle_alpha 90.00
_cell_angle_beta 90.00
_cell_angle_gamma 90.00
loop_
_atom_site_label
_atom_site_type_symbol
_atom_site_fract_x
_atom_site_fract_y
_atom_site_fract_z
Tb1 Tb 0.178 0.322 0.000
Mn1 Mn 0.000 0.000 0.000
Zn1 Zn 0.119 0.619 0.000
Ni1 Ni 0.000 0.500 0.500
Ni2 Ni 0.058 0.800 0.500
```

Entry 5:
# TiMnNi6
Simulated powder diffraction line list, λ = 1.5418 Å (Cu Kα). Input: a DFT-relaxed cell (GGA-PBE, Alexandria).
Peak positions follow from Bragg's law for the DFT cell and can differ from measured ones.

Largest 7 diffraction maxima, low angle first, 2θ from 10° to 90°:
2theta, intensity
24.80, 1
35.36, 1
43.67, 100
50.82, 31
50.99, 15
74.71, 9
74.86, 18

Crystal structure
```
data_TiMnNi6
_chemical_formula_sum 'Ti1 Mn1 Ni6'
_symmetry_space_group_name_H-M 'P 4/m m m'
_symmetry_Int_Tables_number 123
_symmetry_space_group_name_Hall '-P 4 2'
_cell_length_a 5.082
_cell_length_b 5.082
_cell_length_c 3.582
_cell_angle_alpha 90.00
_cell_angle_beta 90.00
_cell_angle_gamma 90.00
loop_
_atom_site_label
_atom_site_type_symbol
_atom_site_fract_x
_atom_site_fract_y
_atom_site_fract_z
Ti1 Ti 0.000 0.000 0.000
Mn1 Mn 0.500 0.500 0.000
Ni1 Ni 0.000 0.500 0.000
Ni2 Ni 0.251 0.251 0.500
```

Entry 6:
# TmMn2Ni9
Simulated powder diffraction line list, λ = 1.5418 Å (Cu Kα). Input: a DFT-relaxed cell (GGA-PBE, Alexandria).
Peak positions follow from Bragg's law for the DFT cell and can differ from measured ones.

Largest 10 diffraction maxima, low angle first, 2θ from 10° to 90°:
2theta, intensity
24.55, 17
35.28, 21
36.93, 36
40.30, 100
44.61, 42
44.96, 25
46.09, 53
46.55, 42
50.75, 19
72.07, 17

Crystal structure
```
data_TmMn2Ni9
_chemical_formula_sum 'Tm2 Mn4 Ni18'
_symmetry_space_group_name_H-M 'P 4/m b m'
_symmetry_Int_Tables_number 127
_symmetry_space_group_name_Hall '-P 4 2ab'
_cell_length_a 8.045
_cell_length_b 8.045
_cell_length_c 4.707
_cell_angle_alpha 90.00
_cell_angle_beta 90.00
_cell_angle_gamma 90.00
loop_
_atom_site_label
_atom_site_type_symbol
_atom_site_fract_x
_atom_site_fract_y
_atom_site_fract_z
Tm1 Tm 0.000 0.000 0.000
Mn1 Mn 0.119 0.381 0.000
Ni1 Ni 0.000 0.500 0.500
Ni2 Ni 0.063 0.210 0.500
Ni3 Ni 0.179 0.679 0.242
```